MnCrF6: computed powder diffraction line list (CuKα), based on a PBE+U-relaxed structure.

Most intense lines, 2θ = 10–80°, in order of rising 2θ:
- 18.3 deg, I = 100.0
- 20.3 deg, I = 37.4
- 23.1 deg, I = 65.4
- 26.3 deg, I = 58.1
- 27.8 deg, I = 27.0
- 34.2 deg, I = 36.3
- 36.0 deg, I = 31.7
- 37.0 deg, I = 20.7
- 49.8 deg, I = 32.0
- 51.7 deg, I = 32.2

```
MnCrF6
1.0
4.7968 -2.8502 0.0000
4.7968 2.8502 0.0000
-2.0253 0.0000 7.5774
Mn Cr F
2 2 12
direct
0.0429 0.9571 0.7500 Mn
0.9571 0.0429 0.2500 Mn
0.0000 0.5000 0.0000 Cr
0.5000 0.0000 0.5000 Cr
0.0939 0.2339 0.4468 F
0.1368 0.6031 0.2378 F
0.1794 0.6421 0.8870 F
0.2339 0.0939 0.9468 F
0.3579 0.8206 0.6130 F
0.3969 0.8632 0.2622 F
0.6031 0.1368 0.7378 F
0.6421 0.1794 0.3870 F
0.7661 0.9061 0.0532 F
0.8206 0.3579 0.1130 F
0.8632 0.3969 0.7622 F
0.9061 0.7661 0.5532 F
```